Starting from a DFT-relaxed cell (PBE, Alexandria), the powder diffraction line list of CrAgHg2 was simulated for Cu Kα (λ = 1.5418 Å).

Structural model:
```
CrAgHg2
1.0
5.1628 -1.6267 0.0000
5.1628 1.6267 0.0000
-1.2511 0.0000 4.7428
Cr Ag Hg
1 1 2
direct
0.0000 0.0000 0.0000
0.2675 0.2675 0.7217
0.5095 0.5095 0.5069
0.7417 0.7417 0.1964
```

The 10 most intense peaks (2θ from 15° to 90°), sorted by position:
- 2θ = 28.9°, intensity 15
- 2θ = 29.1°, intensity 12
- 2θ = 35.9°, intensity 100
- 2θ = 37.6°, intensity 29
- 2θ = 40.0°, intensity 51
- 2θ = 46.4°, intensity 21
- 2θ = 61.8°, intensity 12
- 2θ = 64.0°, intensity 10
- 2θ = 68.9°, intensity 12
- 2θ = 70.1°, intensity 10